1.
The following is a calculated PXRD pattern of Mo2Pd4Pt3. It was derived from DFT lattice parameters and positions (GGA-PBE), using Cu Kα (weighted mean of Kα1 and Kα2).
Neutral-atom scattering factors, no anomalous dispersion.

Cell and atoms:
```
9
Lattice="4.8372 0.0000 0.0000 0.7944 4.8046 0.0000 1.5900 0.5331 5.9512" Properties=species:S:1:pos:R:3 pbc="T T T"
Mo 0.7939 0.6381 1.6847
Mo 6.4277 4.6996 4.2665
Pd 2.3826 2.0600 4.9583
Pd 2.3678 2.8821 2.2970
Pd 4.8538 2.4556 3.6542
Pd 4.8391 3.2777 0.9929
Pt 3.9752 4.2814 5.5893
Pt 3.2136 0.2666 2.9756
Pt 3.2464 1.0564 0.3619
```

Largest 8 diffraction maxima, in order of rising 2θ, 2θ = 10–90°:
d_spacing	two_theta	I (rel.)	hkl
2.292	39.3	51	0 2 1
2.278	39.6	100	2 1 1
2.267	39.8	51	1 0 -2
1.981	45.8	66	2 -1 0
1.958	46.4	32	1 1 3
1.393	67.2	21	-1 2 3
1.194	80.4	13	3 3 0
1.188	81.0	12	1 3 4

---

2.
The following is a calculated PXRD pattern of ScCdGeRh2. It was derived from DFT lattice parameters and positions (GGA-PBE), using Cu Kα (weighted mean of Kα1 and Kα2).
Neutral-atom scattering factors, no anomalous dispersion.

Cell and atoms:
```
5
Lattice="4.6387 0.0000 0.0000 0.0000 4.6387 0.0000 0.0000 0.0000 5.3333" Properties=species:S:1:pos:R:3 pbc="T T T"
Sc 0.0000 0.0000 0.0000
Cd 0.0000 0.0000 2.6666
Ge 2.3194 2.3194 2.6666
Rh 0.0000 2.3194 0.0000
Rh 2.3194 0.0000 0.0000
```

Largest 8 diffraction maxima, in order of rising 2θ, 2θ = 10–90°:
d_spacing	two_theta	I (rel.)	hkl
2.794	32.0	100	1 1 1
2.667	33.6	34	0 0 2
2.319	38.8	46	2 0 0
1.750	52.3	38	2 0 2
1.640	56.1	17	2 2 0
1.563	59.1	17	1 1 3
1.414	66.1	24	3 1 1
1.397	67.0	17	2 2 2

---

Copy entry 1 word for word.
The following is a calculated PXRD pattern of Mo2Pd4Pt3. It was derived from DFT lattice parameters and positions (GGA-PBE), using Cu Kα (weighted mean of Kα1 and Kα2).
Neutral-atom scattering factors, no anomalous dispersion.

Cell and atoms:
```
9
Lattice="4.8372 0.0000 0.0000 0.7944 4.8046 0.0000 1.5900 0.5331 5.9512" Properties=species:S:1:pos:R:3 pbc="T T T"
Mo 0.7939 0.6381 1.6847
Mo 6.4277 4.6996 4.2665
Pd 2.3826 2.0600 4.9583
Pd 2.3678 2.8821 2.2970
Pd 4.8538 2.4556 3.6542
Pd 4.8391 3.2777 0.9929
Pt 3.9752 4.2814 5.5893
Pt 3.2136 0.2666 2.9756
Pt 3.2464 1.0564 0.3619
```

Largest 8 diffraction maxima, in order of rising 2θ, 2θ = 10–90°:
d_spacing	two_theta	I (rel.)	hkl
2.292	39.3	51	0 2 1
2.278	39.6	100	2 1 1
2.267	39.8	51	1 0 -2
1.981	45.8	66	2 -1 0
1.958	46.4	32	1 1 3
1.393	67.2	21	-1 2 3
1.194	80.4	13	3 3 0
1.188	81.0	12	1 3 4

---

Repeat the second record exactly.
The following is a calculated PXRD pattern of ScCdGeRh2. It was derived from DFT lattice parameters and positions (GGA-PBE), using Cu Kα (weighted mean of Kα1 and Kα2).
Neutral-atom scattering factors, no anomalous dispersion.

Cell and atoms:
```
5
Lattice="4.6387 0.0000 0.0000 0.0000 4.6387 0.0000 0.0000 0.0000 5.3333" Properties=species:S:1:pos:R:3 pbc="T T T"
Sc 0.0000 0.0000 0.0000
Cd 0.0000 0.0000 2.6666
Ge 2.3194 2.3194 2.6666
Rh 0.0000 2.3194 0.0000
Rh 2.3194 0.0000 0.0000
```

Largest 8 diffraction maxima, in order of rising 2θ, 2θ = 10–90°:
d_spacing	two_theta	I (rel.)	hkl
2.794	32.0	100	1 1 1
2.667	33.6	34	0 0 2
2.319	38.8	46	2 0 0
1.750	52.3	38	2 0 2
1.640	56.1	17	2 2 0
1.563	59.1	17	1 1 3
1.414	66.1	24	3 1 1
1.397	67.0	17	2 2 2